For Mg3Si4, a structure optimized by DFT (PBE) gives the calculated powder diffraction line list in this record (Cu Kα (λ = 1.5418 Å)).
Neutral-atom scattering factors, no anomalous dispersion.

```
Mg3Si4
1.0
5.9740 0.0000 0.0000
-0.1787 6.5398 0.0000
-2.2119 -2.6114 6.7237
Mg Si
6 8
direct
0.0000 0.0000 0.0000
0.0285 0.8438 0.5177
0.1767 0.4126 0.8697
0.2489 0.2408 0.4580
0.5975 0.4356 0.2639
0.7015 0.4106 0.8978
0.0877 0.4692 0.2162
0.3004 0.8111 0.2608
0.3978 0.6509 0.7258
0.4167 0.0583 0.8727
0.5869 0.8423 0.0908
0.5944 0.9544 0.5984
0.7826 0.6304 0.6703
0.7929 0.2202 0.5210
```

Largest 10 diffraction maxima, most intense first, 2θ = 10–80°:
2θ (°), Rel. int.
35.19, 100
34.83, 60
41.51, 50
31.80, 42
37.51, 42
40.39, 38
42.80, 35
36.51, 35
46.79, 33
39.47, 31

---

For Mg4Si3, a structure optimized by DFT (PBE) gives the calculated powder diffraction line list in this record (Cu Kα (λ = 1.5418 Å)).
Neutral-atom scattering factors, no anomalous dispersion.

```
Mg4Si3
1.0
5.3491 0.0000 0.0000
-1.3124 6.6020 0.0000
-2.4435 -1.6980 7.9376
Mg Si
8 6
direct
0.0596 0.2556 0.0266
0.2161 0.0581 0.6893
0.2999 0.7051 0.3927
0.3296 0.5991 0.7320
0.6704 0.4009 0.2680
0.7001 0.2949 0.6073
0.7839 0.9419 0.3107
0.9404 0.7444 0.9734
0.1447 0.3105 0.4370
0.2903 0.0578 0.2744
0.4248 0.6406 0.0671
0.5752 0.3594 0.9329
0.7097 0.9422 0.7256
0.8553 0.6895 0.5630
```

Largest 10 diffraction maxima, most intense first, 2θ = 10–80°:
2θ (°), Rel. int.
42.13, 100
36.99, 91
36.75, 75
41.56, 70
23.74, 58
39.49, 55
39.94, 46
41.99, 29
33.88, 27
32.78, 23

---

For Mg5Si6, a structure optimized by DFT (PBE) gives the calculated powder diffraction line list in this record (Cu Kα (λ = 1.5418 Å)).
Neutral-atom scattering factors, no anomalous dispersion.

```
Mg5Si6
1.0
6.5831 0.0000 0.0000
0.0000 4.0317 0.0000
-1.3637 0.0000 15.1128
Mg Si
10 12
direct
0.0000 0.0000 0.0000
0.0268 0.0000 0.5070
0.2249 0.0000 0.7360
0.4050 0.0000 0.1619
0.4672 0.0000 0.9172
0.5487 0.0000 0.5896
0.6989 0.5000 0.0862
0.8071 0.0000 0.7939
0.8776 0.5000 0.6541
0.9341 0.0000 0.2376
0.0966 0.5000 0.1337
0.1136 0.5000 0.8601
0.2694 0.5000 0.6121
0.2709 0.5000 0.2829
0.3071 0.5000 0.0134
0.3263 0.5000 0.4574
0.4975 0.0000 0.3758
0.5295 0.5000 0.7589
0.6461 0.5000 0.2701
0.7082 0.5000 0.4769
0.7639 0.5000 0.9126
0.9690 0.5000 0.3721
```

Largest 10 diffraction maxima, most intense first, 2θ = 10–80°:
2θ (°), Rel. int.
36.17, 100
35.33, 67
44.97, 64
38.52, 47
34.45, 35
38.74, 33
36.48, 27
37.18, 25
22.05, 25
42.31, 24

---

For Mg5Si6, a structure optimized by DFT (PBE) gives the calculated powder diffraction line list in this record (Cu Kα (λ = 1.5418 Å)).
Neutral-atom scattering factors, no anomalous dispersion.

```
Mg5Si6
1.0
15.1588 -1.8887 0.0000
15.1588 1.8887 0.0000
-0.5608 0.0000 6.9944
Mg Si
10 12
direct
0.0000 0.0000 0.0000
0.0963 0.0963 0.4244
0.2272 0.2272 0.6618
0.3125 0.3125 0.0767
0.3487 0.3487 0.6086
0.4296 0.4296 0.2381
0.5255 0.5255 0.6675
0.6462 0.6462 0.7322
0.6759 0.6759 0.3366
0.8821 0.8821 0.9426
0.0836 0.0836 0.8417
0.1636 0.1636 0.0378
0.2406 0.2406 0.2555
0.4397 0.4397 0.8157
0.5344 0.5344 0.2707
0.5999 0.5999 0.0736
0.7256 0.7256 0.9817
0.7842 0.7842 0.4245
0.7939 0.7939 0.7811
0.8625 0.8625 0.3236
0.9242 0.9242 0.5878
0.9911 0.9911 0.3982
```

Largest 10 diffraction maxima, most intense first, 2θ = 10–80°:
2θ (°), Rel. int.
34.68, 100
48.18, 63
34.91, 50
39.80, 42
37.28, 39
36.64, 36
35.78, 36
44.09, 35
37.75, 32
40.61, 26

---

For Mg3Si4, a structure optimized by DFT (PBE) gives the calculated powder diffraction line list in this record (Cu Kα (λ = 1.5418 Å)).
Neutral-atom scattering factors, no anomalous dispersion.

```
Mg3Si4
1.0
8.5844 -2.0898 0.0000
8.5844 2.0898 0.0000
-2.6042 0.0000 7.8026
Mg Si
6 8
direct
0.0000 0.0000 0.0000
0.1900 0.1900 0.0035
0.5032 0.5032 0.2737
0.5584 0.5584 0.7356
0.7548 0.7548 0.7701
0.8550 0.8550 0.1928
0.0010 0.0010 0.4692
0.1417 0.1417 0.6422
0.2324 0.2324 0.4794
0.3514 0.3514 0.9829
0.3631 0.3631 0.6988
0.6065 0.6065 0.0881
0.7319 0.7319 0.3210
0.9288 0.9288 0.6672
```

Largest 10 diffraction maxima, most intense first, 2θ = 10–80°:
2θ (°), Rel. int.
42.86, 100
43.30, 94
33.90, 82
33.12, 62
30.55, 61
34.92, 56
23.95, 50
38.92, 46
36.77, 35
46.96, 35

---

For Mg4Si3, a structure optimized by DFT (PBE) gives the calculated powder diffraction line list in this record (Cu Kα (λ = 1.5418 Å)).
Neutral-atom scattering factors, no anomalous dispersion.

```
Mg4Si3
1.0
6.6965 0.0000 0.0000
1.9563 6.9322 0.0000
0.0881 0.5584 11.6933
Mg Si
16 12
direct
0.0000 0.0000 0.0000
0.0030 0.1879 0.3905
0.0572 0.3677 0.1311
0.1912 0.5439 0.3547
0.2470 0.7933 0.5429
0.3453 0.1917 0.5498
0.4080 0.7100 0.8928
0.4767 0.9733 0.0938
0.5451 0.3795 0.0596
0.6146 0.0724 0.8507
0.6559 0.5528 0.2799
0.7185 0.8963 0.4157
0.8462 0.1182 0.6268
0.8553 0.3834 0.8526
0.9353 0.5309 0.5705
0.9774 0.7572 0.7872
0.2067 0.0331 0.7671
0.2488 0.4124 0.7417
0.2514 0.2516 0.9307
0.2650 0.7117 0.1404
0.3395 0.8824 0.3162
0.4117 0.1930 0.2805
0.5630 0.5193 0.6841
0.5784 0.8635 0.6656
0.6002 0.4091 0.4892
0.7827 0.1285 0.2146
0.7826 0.6978 0.9917
0.8977 0.7687 0.1821
```

Largest 10 diffraction maxima, most intense first, 2θ = 10–80°:
2θ (°), Rel. int.
35.45, 100
41.14, 65
36.93, 57
34.78, 49
39.43, 31
33.78, 28
36.43, 25
43.56, 25
40.13, 23
36.07, 17

---

For Mg2Si3, a structure optimized by DFT (PBE) gives the calculated powder diffraction line list in this record (Cu Kα (λ = 1.5418 Å)).
Neutral-atom scattering factors, no anomalous dispersion.

```
Mg2Si3
1.0
2.9822 0.0000 0.0000
0.0854 7.8524 0.0000
0.4581 2.7859 7.5737
Mg Si
4 6
direct
0.0252 0.2990 0.0039
0.1219 0.6955 0.4080
0.8781 0.3045 0.5920
0.9748 0.7010 0.9961
0.2804 0.0837 0.3800
0.3818 0.4194 0.2690
0.4001 0.0355 0.8434
0.5999 0.9645 0.1566
0.6182 0.5806 0.7310
0.7196 0.9163 0.6200
```

Largest 10 diffraction maxima, most intense first, 2θ = 10–80°:
2θ (°), Rel. int.
37.35, 100
35.50, 65
38.76, 57
36.06, 52
39.58, 52
39.07, 49
45.14, 34
38.45, 28
36.58, 27
47.78, 21

---

For Mg5Si6, a structure optimized by DFT (PBE) gives the calculated powder diffraction line list in this record (Cu Kα (λ = 1.5418 Å)).
Neutral-atom scattering factors, no anomalous dispersion.

```
Mg5Si6
1.0
5.1658 0.0000 0.0000
-0.4983 5.6739 0.0000
-1.4700 -2.2320 13.5212
Mg Si
10 12
direct
0.0000 0.0000 0.0000
0.0123 0.0934 0.3986
0.2752 0.5628 0.9363
0.3523 0.5032 0.5364
0.4120 0.2741 0.7148
0.4819 0.0575 0.8924
0.4974 0.2351 0.3064
0.5374 0.9803 0.4986
0.6470 0.7233 0.2608
0.8042 0.5087 0.0601
0.0702 0.9342 0.5761
0.1300 0.5771 0.3328
0.1643 0.8369 0.1915
0.1846 0.7520 0.7221
0.3202 0.3868 0.1204
0.5340 0.0120 0.0931
0.6874 0.7980 0.7259
0.7482 0.5672 0.8642
0.8259 0.5859 0.4614
0.8899 0.3260 0.6305
0.9496 0.1970 0.8037
0.9605 0.2141 0.2092
```

Largest 10 diffraction maxima, most intense first, 2θ = 10–80°:
2θ (°), Rel. int.
36.70, 100
37.65, 97
38.93, 89
40.33, 83
38.75, 75
39.56, 74
53.11, 26
54.07, 25
68.56, 15
60.17, 13

---

For Mg2Si3, a structure optimized by DFT (PBE) gives the calculated powder diffraction line list in this record (Cu Kα (λ = 1.5418 Å)).
Neutral-atom scattering factors, no anomalous dispersion.

```
Mg2Si3
1.0
4.6689 0.0000 0.0000
-2.1608 4.9526 0.0000
-1.1093 -0.9831 15.1529
Mg Si
8 12
direct
0.0251 0.0668 0.1788
0.1425 0.3057 0.9909
0.3254 0.6927 0.4902
0.4713 0.9623 0.6845
0.5287 0.0377 0.3155
0.6746 0.3073 0.5098
0.8575 0.6943 0.0091
0.9749 0.9332 0.8212
0.0646 0.0758 0.4234
0.1844 0.3766 0.6487
0.2303 0.4463 0.3147
0.2525 0.5051 0.8087
0.3234 0.6776 0.1597
0.4791 0.9135 0.9206
0.5209 0.0865 0.0794
0.6766 0.3224 0.8403
0.7475 0.4949 0.1913
0.7697 0.5537 0.6853
0.8156 0.6234 0.3513
0.9354 0.9242 0.5766
```

Largest 10 diffraction maxima, most intense first, 2θ = 10–80°:
2θ (°), Rel. int.
38.69, 100
39.00, 62
35.89, 44
38.15, 42
38.53, 33
35.55, 27
37.29, 26
34.70, 22
36.03, 21
41.80, 16

---

For Mg5Si6, a structure optimized by DFT (PBE) gives the calculated powder diffraction line list in this record (Cu Kα (λ = 1.5418 Å)).
Neutral-atom scattering factors, no anomalous dispersion.

```
Mg5Si6
1.0
4.0919 0.0000 0.0000
-0.0416 6.5459 0.0000
-0.2289 -1.3451 15.0612
Mg Si
10 12
direct
0.0000 0.0000 0.0000
0.9999 0.2193 0.7118
0.0017 0.6600 0.1269
0.0054 0.1862 0.2079
0.0104 0.1214 0.4436
0.4962 0.0700 0.8598
0.5031 0.8847 0.2926
0.9905 0.7406 0.7932
0.9978 0.5915 0.3692
0.9988 0.4227 0.9413
0.0223 0.6773 0.5812
0.4411 0.8947 0.6803
0.4559 0.4589 0.4912
0.4975 0.4640 0.8166
0.5002 0.7249 0.9675
0.5007 0.9553 0.1184
0.5032 0.3031 0.0650
0.5083 0.2844 0.3404
0.5104 0.4913 0.2187
0.5164 0.1549 0.5769
0.5398 0.8304 0.4780
0.5416 0.5174 0.6611
```

Largest 10 diffraction maxima, most intense first, 2θ = 10–80°:
2θ (°), Rel. int.
36.37, 100
38.46, 78
44.28, 77
35.74, 65
35.35, 41
42.59, 40
21.72, 31
43.08, 24
34.15, 23
38.88, 22

---

For Mg4Si3, a structure optimized by DFT (PBE) gives the calculated powder diffraction line list in this record (Cu Kα (λ = 1.5418 Å)).
Neutral-atom scattering factors, no anomalous dispersion.

```
Mg4Si3
1.0
4.6857 0.0000 0.0000
1.0003 7.4387 0.0000
1.1180 0.4325 7.5217
Mg Si
8 6
direct
0.0434 0.2932 0.0325
0.1841 0.0480 0.7300
0.3115 0.7600 0.4770
0.4477 0.4736 0.2056
0.5523 0.5264 0.7944
0.6885 0.2400 0.5230
0.8159 0.9520 0.2700
0.9566 0.7068 0.9675
0.1137 0.4246 0.6293
0.2629 0.1298 0.3326
0.3843 0.8752 0.0776
0.6157 0.1248 0.9224
0.7371 0.8702 0.6674
0.8863 0.5754 0.3707
```

Largest 10 diffraction maxima, most intense first, 2θ = 10–80°:
2θ (°), Rel. int.
39.53, 100
35.40, 94
34.92, 80
38.96, 66
39.35, 38
43.62, 25
47.27, 21
46.72, 20
43.43, 16
69.32, 14